For InRu4W, the GGA-PBE geometry in Alexandria gives the simulated X-ray powder pattern in this record (CuKα).

Lattice parameters (Å, degrees): 7.2357 7.2357 7.2357 90.00 90.00 90.00
Space group F-43m (No. 216)
Asymmetric unit:
In: 0.0000 0.0000 0.0000 (multiplicity 4)
Ru: 0.1253 0.1253 0.3747 (multiplicity 16)
W: 0.2500 0.2500 0.7500 (multiplicity 4)

The 8 most intense peaks (10 to 90 degrees two-theta), sorted by position:
2θ 35.1, d 2.558, I 40, hkl 2 2 0; 2θ 41.4, d 2.182, I 100, hkl 3 1 1; 2θ 43.3, d 2.089, I 29, hkl 2 2 2; 2θ 62.9, d 1.477, I 15, hkl 4 2 2; 2θ 67.2, d 1.393, I 31, hkl 5 1 1; 2θ 74.1, d 1.279, I 25, hkl 4 4 0; 2θ 88.6, d 1.103, I 11, hkl 5 3 3; 2θ 89.9, d 1.091, I 11, hkl 6 2 2